Structure and calculated powder X-ray diffraction pattern of RbTlNiF6 (a cell relaxed with PBE+U; Cu Kα (weighted mean of Kα1 and Kα2)).

The 6 most intense peaks (10° ≤ 2θ ≤ 90°), sorted by position:
Position (°2θ), I_rel
14.79, 37
17.99, 21
23.37, 100
31.46, 22
39.49, 15
43.92, 36

Atomic structure:
```
RbTlNiF6
1.0
2.8532 -4.9189 0.0000
2.8532 4.9189 0.0000
-0.0236 0.0000 5.9901
Rb Tl Ni F
1 1 1 6
direct
0.0000 0.0000 0.0000
0.6669 0.3331 0.5000
0.3330 0.6670 0.5000
0.0207 0.6331 0.3084
0.0230 0.3899 0.6925
0.3647 0.3873 0.3087
0.3669 0.9793 0.6916
0.6101 0.9770 0.3075
0.6127 0.6353 0.6913
```